Calculated PXRD pattern of KNdHfSnO6 for Cu Kα X-rays, from a structure optimized by DFT (GGA-PBE).
No peak broadening, texture or thermal motion is included.

The 10 most intense peaks (10° ≤ 2θ ≤ 80°), sorted by position:
18.74°, intensity 15; 21.67°, intensity 13; 30.83°, intensity 100; 36.33°, intensity 9; 44.17°, intensity 31; 48.37°, intensity 4; 49.71°, intensity 6; 54.83°, intensity 41; 64.24°, intensity 19; 72.95°, intensity 18

```
data_KNdHfSnO6
_chemical_formula_sum 'K4 Nd4 Hf4 Sn4 O24'
_space_group_name_H-M_alt 'F -4 3 m'
_space_group_IT_number 216
_space_group_name_Hall 'F -4 2 3'
_cell_length_a 8.202
_cell_length_b 8.202
_cell_length_c 8.202
_cell_angle_alpha 90.00
_cell_angle_beta 90.00
_cell_angle_gamma 90.00
loop_
_atom_site_label
_atom_site_type_symbol
_atom_site_fract_x
_atom_site_fract_y
_atom_site_fract_z
K1 K 0.000 0.000 0.000
Nd1 Nd 0.000 0.000 0.500
Hf1 Hf 0.250 0.250 0.750
Sn1 Sn 0.250 0.250 0.250
O1 O 0.000 0.250 0.250
```

---

Calculated PXRD pattern of K3Hf3NiS8 for Cu Kα X-rays, from a structure optimized by DFT (GGA-PBE).
No peak broadening, texture or thermal motion is included.

The 10 most intense peaks (10° ≤ 2θ ≤ 80°), sorted by position:
11.82°, intensity 100; 23.77°, intensity 17; 28.18°, intensity 23; 29.03°, intensity 23; 32.21°, intensity 78; 39.79°, intensity 22; 42.86°, intensity 28; 49.35°, intensity 24; 50.93°, intensity 16; 60.16°, intensity 12

```
data_K3Hf3NiS8
_chemical_formula_sum 'K9 Hf9 Ni3 S24'
_space_group_name_H-M_alt 'R -3 m'
_space_group_IT_number 166
_space_group_name_Hall '-R 3 2"'
_cell_length_a 7.3870
_cell_length_b 7.3870
_cell_length_c 22.4583
_cell_angle_alpha 90.00
_cell_angle_beta 90.00
_cell_angle_gamma 120.00
loop_
_atom_site_label
_atom_site_type_symbol
_atom_site_fract_x
_atom_site_fract_y
_atom_site_fract_z
K1 K 0.0000 0.5000 0.0000
Hf1 Hf 0.0000 0.5000 0.5000
Ni1 Ni 0.0000 0.0000 0.5000
S1 S 0.0000 0.0000 0.2322
S2 S 0.0025 0.5012 0.2286
```

---

Calculated PXRD pattern of K4HfO4 for Cu Kα X-rays, from a structure optimized by DFT (GGA-PBE).
No peak broadening, texture or thermal motion is included.

The 10 most intense peaks (10° ≤ 2θ ≤ 80°), sorted by position:
15.47°, intensity 97; 16.83°, intensity 79; 16.95°, intensity 79; 17.68°, intensity 74; 28.85°, intensity 100; 29.27°, intensity 83; 29.37°, intensity 81; 32.60°, intensity 82; 33.30°, intensity 72; 35.01°, intensity 64

```
data_K4HfO4
_chemical_formula_sum 'K8 Hf2 O8'
_space_group_name_H-M_alt 'P -1'
_space_group_IT_number 2
_cell_length_a 6.592
_cell_length_b 6.618
_cell_length_c 9.926
_cell_angle_alpha 80.75
_cell_angle_beta 71.71
_cell_angle_gamma 67.38
loop_
_space_group_symop_operation_xyz
'x,y,z'
'-x,-y,-z'
loop_
_atom_site_label
_atom_site_type_symbol
_atom_site_fract_x
_atom_site_fract_y
_atom_site_fract_z
K1 K 0.018 0.268 0.439
K2 K 0.104 0.730 0.173
K3 K 0.260 0.239 0.019
K4 K 0.454 0.230 0.610
Hf1 Hf 0.344 0.722 0.756
O1 O 0.155 0.536 0.806
O2 O 0.207 0.963 0.629
O3 O 0.347 0.456 0.356
O4 O 0.347 0.849 0.921
```

---

Calculated PXRD pattern of KHfO3 for Cu Kα X-rays, from a structure optimized by DFT (GGA-PBE).
No peak broadening, texture or thermal motion is included.

The 10 most intense peaks (10° ≤ 2θ ≤ 80°), sorted by position:
13.53°, intensity 100; 24.30°, intensity 36; 25.59°, intensity 26; 27.25°, intensity 29; 30.07°, intensity 50; 32.43°, intensity 18; 32.55°, intensity 29; 35.99°, intensity 25; 43.08°, intensity 29; 52.62°, intensity 17

```
data_KHfO3
_chemical_formula_sum 'K4 Hf4 O12'
_space_group_name_H-M_alt 'C 1 m 1'
_space_group_IT_number 8
_cell_length_a 11.534
_cell_length_b 3.938
_cell_length_c 7.564
_cell_angle_alpha 90.00
_cell_angle_beta 120.08
_cell_angle_gamma 90.00
loop_
_space_group_symop_operation_xyz
'x,y,z'
'x,-y,z'
'x+1/2,y+1/2,z'
'x+1/2,-y+1/2,z'
loop_
_atom_site_label
_atom_site_type_symbol
_atom_site_fract_x
_atom_site_fract_y
_atom_site_fract_z
K1 K 0.000 0.000 0.000
K2 K 0.237 0.500 0.064
Hf1 Hf 0.239 0.000 0.580
Hf2 Hf 0.479 0.000 0.489
O1 O 0.159 0.000 0.790
O2 O 0.182 0.500 0.536
O3 O 0.276 0.000 0.333
O4 O 0.309 0.000 0.895
O5 O 0.451 0.000 0.723
O6 O 0.493 0.500 0.393
```

---

Calculated PXRD pattern of K6HfO4 for Cu Kα X-rays, from a structure optimized by DFT (GGA-PBE).
No peak broadening, texture or thermal motion is included.

The 10 most intense peaks (10° ≤ 2θ ≤ 80°), sorted by position:
14.16°, intensity 64; 16.36°, intensity 64; 21.71°, intensity 17; 26.01°, intensity 100; 28.54°, intensity 34; 33.08°, intensity 26; 36.14°, intensity 18; 40.81°, intensity 20; 44.24°, intensity 27; 49.03°, intensity 22

```
data_K6HfO4
_chemical_formula_sum 'K24 Hf4 O16'
_space_group_name_H-M_alt 'C m c 21'
_space_group_IT_number 36
_cell_length_a 12.500
_cell_length_b 21.675
_cell_length_c 6.257
_cell_angle_alpha 90.00
_cell_angle_beta 90.00
_cell_angle_gamma 90.00
loop_
_space_group_symop_operation_xyz
'x,y,z'
'-x,-y,z+1/2'
'-x,y,z'
'x,-y,z+1/2'
'x+1/2,y+1/2,z'
'-x+1/2,-y+1/2,z+1/2'
'-x+1/2,y+1/2,z'
'x+1/2,-y+1/2,z+1/2'
loop_
_atom_site_label
_atom_site_type_symbol
_atom_site_fract_x
_atom_site_fract_y
_atom_site_fract_z
K1 K 0.000 0.071 0.000
K2 K 0.000 0.354 0.567
K3 K 0.144 0.215 0.000
K4 K 0.218 0.427 0.067
Hf1 Hf 0.000 0.167 0.566
O1 O 0.000 0.167 0.250
O2 O 0.000 0.249 0.700
O3 O 0.124 0.126 0.700
```

---

Calculated PXRD pattern of K2Hf2O5 for Cu Kα X-rays, from a structure optimized by DFT (GGA-PBE).
No peak broadening, texture or thermal motion is included.

The 10 most intense peaks (10° ≤ 2θ ≤ 80°), sorted by position:
12.99°, intensity 93; 16.50°, intensity 42; 20.00°, intensity 42; 30.35°, intensity 100; 30.56°, intensity 36; 30.99°, intensity 74; 31.55°, intensity 40; 42.32°, intensity 26; 44.49°, intensity 39; 60.62°, intensity 28

```
data_K2Hf2O5
_chemical_formula_sum 'K8 Hf8 O20'
_space_group_name_H-M_alt 'P n n a'
_space_group_IT_number 52
_cell_length_a 5.850
_cell_length_b 10.743
_cell_length_c 8.821
_cell_angle_alpha 90.00
_cell_angle_beta 90.00
_cell_angle_gamma 90.00
loop_
_space_group_symop_operation_xyz
'x,y,z'
'-x,-y,-z'
'-x+1/2,-y,z'
'x+1/2,y,-z'
'x,-y+1/2,-z+1/2'
'-x,y+1/2,z+1/2'
'-x+1/2,y+1/2,-z+1/2'
'x+1/2,-y+1/2,z+1/2'
loop_
_atom_site_label
_atom_site_type_symbol
_atom_site_fract_x
_atom_site_fract_y
_atom_site_fract_z
K1 K 0.067 0.166 0.077
Hf1 Hf 0.033 0.076 0.659
O1 O 0.004 0.750 0.250
O2 O 0.128 0.606 0.951
O3 O 0.250 0.000 0.248
O4 O 0.250 0.000 0.821
```